# NdB2HF10
Simulated PXRD pattern, Cu Kα X-rays. Input: a cell relaxed with PBE.

Main lines, by intensity (10 to 80 degrees two-theta):
| Position (°2θ) | Rel. int. | index |
| --- | --- | --- |
| 20.3 | 100.0 | 1 1 0 |
| 13.7 | 97.1 | 1 0 -1 |
| 25.5 | 88.7 | 1 1 1 |
| 20.4 | 63.1 | 1 0 1 |
| 18.6 | 55.0 | 0 1 1 |
| 31.7 | 49.6 | 2 1 -2 |
| 44.4 | 46.5 | 3 1 0 |
| 25.8 | 42.9 | 1 1 -2 |
| 26.6 | 42.2 | 0 1 2 |
| 10.9 | 40.8 | 0 0 1 |
| 20.8 | 38.1 | 1 0 -2 |
| 30.4 | 37.5 | 0 2 0 |

Crystal structure
```
NdB2HF10
1.0
7.078 0.000 0.000
0.000 5.886 0.000
-3.380 0.000 8.142
Nd B H F
2 4 2 20
Direct
0.233 0.250 0.156 Nd
0.767 0.750 0.844 Nd
0.252 0.750 0.451 B
0.414 0.250 0.805 B
0.586 0.750 0.195 B
0.748 0.250 0.549 B
0.072 0.750 0.653 H
0.928 0.250 0.347 H
0.000 0.000 0.000 F
0.000 0.500 0.000 F
0.072 0.750 0.485 F
0.072 0.750 0.763 F
0.253 0.555 0.357 F
0.253 0.945 0.357 F
0.260 0.250 0.872 F
0.334 0.250 0.636 F
0.423 0.750 0.600 F
0.459 0.553 0.134 F
0.459 0.947 0.134 F
0.541 0.053 0.866 F
0.541 0.447 0.866 F
0.577 0.250 0.400 F
0.666 0.750 0.364 F
0.740 0.750 0.128 F
0.747 0.055 0.643 F
0.747 0.445 0.643 F
0.928 0.250 0.237 F
0.928 0.250 0.515 F
```